Structure and calculated X-ray diffraction stick pattern of Tb3AuSe3 (a structure optimized by DFT (PBE); λ = 1.5418 Å (Cu Kα)).

Largest 8 diffraction maxima, by intensity, 2θ from 10° to 90°:
d 2.483, 36.18°, rel. 100
d 2.395, 37.55°, rel. 80
d 3.447, 25.84°, rel. 61
d 6.841, 12.94°, rel. 26
d 1.724, 53.13°, rel. 23
d 2.884, 31.01°, rel. 23
d 1.882, 48.38°, rel. 22
d 1.247, 76.37°, rel. 21

Lattice parameters (Å, degrees): 7.611 7.611 7.611 68.80 68.80 68.80
Fractional coordinates of all 14 atoms:
Tb  0.046  0.423  0.784
Tb  0.216  0.954  0.577
Tb  0.423  0.784  0.046
Tb  0.577  0.216  0.954
Tb  0.784  0.046  0.423
Tb  0.954  0.577  0.216
Au  0.157  0.157  0.157
Au  0.843  0.843  0.843
Se  0.130  0.702  0.407
Se  0.298  0.593  0.870
Se  0.407  0.130  0.702
Se  0.593  0.870  0.298
Se  0.702  0.407  0.130
Se  0.870  0.298  0.593


Structure and calculated X-ray diffraction stick pattern of TcAuSe2 (a structure optimized by DFT (PBE); λ = 1.5418 Å (Cu Kα)).

Largest 8 diffraction maxima, by intensity, 2θ from 10° to 90°:
d 5.075, 17.48°, rel. 100
d 2.320, 38.81°, rel. 67
d 2.568, 34.93°, rel. 57
d 5.263, 16.85°, rel. 50
d 2.117, 42.71°, rel. 49
d 2.057, 44.03°, rel. 41
d 2.978, 30.01°, rel. 34
d 2.844, 31.46°, rel. 27

Lattice parameters (Å, degrees): 6.966 6.966 5.687 114.07 114.07 107.57
Fractional coordinates of all 8 atoms:
Tc  0.000  0.000  0.000
Tc  0.000  0.000  0.500
Au  0.084  0.665  0.125
Au  0.665  0.084  0.625
Se  0.249  0.387  0.068
Se  0.387  0.249  0.568
Se  0.649  0.870  0.010
Se  0.870  0.649  0.510


Structure and calculated X-ray diffraction stick pattern of TeAuSe2 (a structure optimized by DFT (PBE); λ = 1.5418 Å (Cu Kα)).

Largest 8 diffraction maxima, by intensity, 2θ from 10° to 90°:
d 2.872, 31.15°, rel. 100
d 2.039, 44.42°, rel. 38
d 2.022, 44.83°, rel. 34
d 6.574, 13.47°, rel. 22
d 1.663, 55.24°, rel. 20
d 1.289, 73.48°, rel. 17
d 1.280, 74.08°, rel. 14
d 1.174, 82.09°, rel. 12

Lattice parameters (Å, degrees): 6.983 6.983 6.983 33.96 33.96 33.96
Fractional coordinates of all 4 atoms:
Te  0.000  0.000  0.000
Au  0.749  0.749  0.749
Se  0.244  0.244  0.244
Se  0.483  0.483  0.483


Structure and calculated X-ray diffraction stick pattern of Te6Au2Se (a structure optimized by DFT (PBE); λ = 1.5418 Å (Cu Kα)).

Largest 8 diffraction maxima, by intensity, 2θ from 10° to 90°:
d 3.676, 24.21°, rel. 100
d 2.916, 30.66°, rel. 79
d 2.142, 42.20°, rel. 65
d 2.621, 34.21°, rel. 56
d 3.156, 28.28°, rel. 41
d 3.780, 23.53°, rel. 41
d 2.805, 31.90°, rel. 38
d 2.285, 39.43°, rel. 31

Lattice parameters (Å, degrees): 9.493 9.493 7.349 112.68 112.68 88.30
Fractional coordinates of all 18 atoms:
Te  0.030  0.168  0.094
Te  0.039  0.573  0.227
Te  0.168  0.030  0.594
Te  0.287  0.512  0.851
Te  0.427  0.961  0.273
Te  0.488  0.713  0.649
Te  0.512  0.287  0.351
Te  0.573  0.039  0.727
Te  0.713  0.488  0.149
Te  0.832  0.970  0.406
Te  0.961  0.427  0.773
Te  0.970  0.832  0.906
Au  0.265  0.411  0.431
Au  0.411  0.265  0.931
Au  0.589  0.735  0.069
Au  0.735  0.589  0.569
Se  0.181  0.819  0.750
Se  0.819  0.181  0.250


Structure and calculated X-ray diffraction stick pattern of Th8Te4AuSe3 (a structure optimized by DFT (PBE); λ = 1.5418 Å (Cu Kα)).

Largest 8 diffraction maxima, by intensity, 2θ from 10° to 90°:
d 3.083, 28.96°, rel. 100
d 2.138, 42.28°, rel. 38
d 2.226, 40.53°, rel. 37
d 1.757, 52.06°, rel. 20
d 1.357, 69.23°, rel. 17
d 1.402, 66.73°, rel. 15
d 3.513, 25.35°, rel. 13
d 1.250, 76.13°, rel. 12

Lattice parameters (Å, degrees): 8.917 8.917 8.917 57.29 57.29 57.29
Fractional coordinates of all 16 atoms:
Th  0.239  0.743  0.743
Th  0.241  0.241  0.241
Th  0.257  0.257  0.761
Th  0.257  0.761  0.257
Th  0.743  0.239  0.743
Th  0.743  0.743  0.239
Th  0.759  0.759  0.759
Th  0.761  0.257  0.257
Te  0.000  0.000  0.000
Te  0.000  0.500  0.500
Te  0.500  0.000  0.500
Te  0.500  0.500  0.000
Au  0.500  0.500  0.500
Se  0.000  0.000  0.500
Se  0.000  0.500  0.000
Se  0.500  0.000  0.000


Structure and calculated X-ray diffraction stick pattern of Ti2Au2Se (a structure optimized by DFT (PBE); λ = 1.5418 Å (Cu Kα)).

Largest 8 diffraction maxima, by intensity, 2θ from 10° to 90°:
d 2.422, 37.12°, rel. 100
d 2.994, 29.84°, rel. 33
d 2.117, 42.71°, rel. 30
d 3.107, 28.73°, rel. 28
d 1.476, 62.97°, rel. 19
d 2.059, 43.97°, rel. 18
d 1.190, 80.74°, rel. 16
d 4.118, 21.58°, rel. 16

Lattice parameters (Å, degrees): 6.695 6.695 4.118 90.00 90.00 90.00
Fractional coordinates of all 10 atoms:
Ti  0.157  0.343  0.000
Ti  0.343  0.843  0.000
Ti  0.657  0.157  0.000
Ti  0.843  0.657  0.000
Au  0.144  0.644  0.500
Au  0.356  0.144  0.500
Au  0.644  0.856  0.500
Au  0.856  0.356  0.500
Se  0.000  0.000  0.000
Se  0.500  0.500  0.000


Structure and calculated X-ray diffraction stick pattern of TlAuSe3 (a structure optimized by DFT (PBE); λ = 1.5418 Å (Cu Kα)).

Largest 8 diffraction maxima, by intensity, 2θ from 10° to 90°:
d 3.008, 29.70°, rel. 100
d 5.360, 16.54°, rel. 47
d 2.840, 31.50°, rel. 37
d 7.264, 12.18°, rel. 35
d 2.069, 43.75°, rel. 32
d 3.192, 27.95°, rel. 28
d 3.621, 24.59°, rel. 23
d 1.992, 45.55°, rel. 17

Lattice parameters (Å, degrees): 5.380 7.967 7.323 90.00 97.28 90.00
Fractional coordinates of all 10 atoms:
Tl  0.111  0.250  0.137
Tl  0.889  0.750  0.863
Au  0.500  0.000  0.000
Au  0.500  0.500  0.000
Se  0.272  0.510  0.686
Se  0.272  0.990  0.686
Se  0.450  0.750  0.536
Se  0.550  0.250  0.464
Se  0.728  0.010  0.314
Se  0.728  0.490  0.314


Structure and calculated X-ray diffraction stick pattern of TlAuSe3 (a structure optimized by DFT (PBE); λ = 1.5418 Å (Cu Kα)).

Largest 8 diffraction maxima, by intensity, 2θ from 10° to 90°:
d 3.596, 24.76°, rel. 100
d 3.033, 29.45°, rel. 65
d 2.394, 37.57°, rel. 60
d 2.565, 34.98°, rel. 47
d 4.538, 19.56°, rel. 40
d 1.959, 46.36°, rel. 37
d 2.521, 35.61°, rel. 22
d 3.399, 26.22°, rel. 21

Lattice parameters (Å, degrees): 10.426 10.426 6.065 90.00 90.00 121.04
Fractional coordinates of all 20 atoms:
Tl  0.114  0.386  0.250
Tl  0.386  0.114  0.750
Tl  0.614  0.886  0.250
Tl  0.886  0.614  0.750
Au  0.117  0.883  0.275
Au  0.383  0.617  0.775
Au  0.617  0.383  0.225
Au  0.883  0.117  0.725
Se  0.017  0.983  0.808
Se  0.093  0.407  0.750
Se  0.248  0.752  0.804
Se  0.252  0.748  0.304
Se  0.407  0.093  0.250
Se  0.483  0.517  0.308
Se  0.517  0.483  0.692
Se  0.593  0.907  0.750
Se  0.748  0.252  0.696
Se  0.752  0.248  0.196
Se  0.907  0.593  0.250
Se  0.983  0.017  0.192